Record 1
Structure and computed X-ray diffraction stick pattern of NdC3O11 (a DFT-relaxed cell (GGA-PBE, the Materials Project); Cu Kα, 1.54184 Å).

Largest 10 diffraction maxima, most intense first, 2θ = 5–70°:
two_theta	d (Å)	I_rel
12.3	7.222	100
20.6	4.308	97
8.4	10.537	71
12.9	6.888	63
28.3	3.148	58
28.9	3.090	54
19.1	4.653	44
17.0	5.216	41
22.3	3.978	39
32.9	2.724	35

Cell and atoms:
a b c (Å): 11.187 9.917 10.165
angles (deg): 90.00 109.64 90.00
Fractional positions:
Nd 0.177 0.142 0.352
Nd 0.177 0.358 0.852
Nd 0.823 0.642 0.148
Nd 0.823 0.858 0.648
C 0.048 0.023 0.574
C 0.048 0.477 0.074
C 0.066 0.650 0.508
C 0.066 0.850 0.008
C 0.492 0.625 0.866
C 0.492 0.875 0.366
C 0.508 0.125 0.634
C 0.508 0.375 0.134
C 0.934 0.150 0.992
C 0.934 0.350 0.492
C 0.952 0.523 0.926
C 0.952 0.977 0.426
O 0.007 0.014 0.675
O 0.007 0.486 0.175
O 0.007 0.665 0.389
O 0.007 0.835 0.889
O 0.133 0.639 0.624
O 0.133 0.861 0.124
O 0.138 0.158 0.914
O 0.138 0.342 0.414
O 0.155 0.066 0.576
O 0.155 0.434 0.076
O 0.294 0.665 0.017
O 0.294 0.835 0.517
O 0.326 0.162 0.250
O 0.326 0.338 0.750
O 0.386 0.606 0.797
O 0.386 0.894 0.297
O 0.393 0.674 0.118
O 0.393 0.826 0.618
O 0.403 0.143 0.562
O 0.403 0.357 0.062
O 0.445 0.502 0.458
O 0.445 0.998 0.958
O 0.555 0.002 0.042
O 0.555 0.498 0.542
O 0.597 0.643 0.938
O 0.597 0.857 0.438
O 0.607 0.174 0.382
O 0.607 0.326 0.882
O 0.614 0.106 0.703
O 0.614 0.394 0.203
O 0.674 0.662 0.250
O 0.674 0.838 0.750
O 0.706 0.165 0.483
O 0.706 0.335 0.983
O 0.845 0.566 0.924
O 0.845 0.934 0.424
O 0.862 0.658 0.586
O 0.862 0.842 0.086
O 0.867 0.139 0.876
O 0.867 0.361 0.376
O 0.993 0.165 0.111
O 0.993 0.335 0.611
O 0.993 0.514 0.825
O 0.993 0.986 0.325


Record 2
Structure and computed X-ray diffraction stick pattern of NdPOs2C (a DFT-relaxed cell (GGA-PBE, the Materials Project); Cu Kα, 1.54184 Å).

Largest 10 diffraction maxima, most intense first, 2θ = 5–70°:
two_theta	d (Å)	I_rel
33.2	2.695	100
34.9	2.571	79
41.4	2.183	46
29.8	2.994	35
46.0	1.972	32
45.3	2.000	30
34.8	2.579	29
63.6	1.463	26
62.0	1.498	26
27.1	3.294	23

Cell and atoms:
a b c (Å): 5.876 5.876 7.121
angles (deg): 90.00 90.00 140.78
Fractional positions:
Nd 0.046 0.954 0.750
Nd 0.954 0.046 0.250
P 0.231 0.769 0.250
P 0.769 0.231 0.750
Os 0.333 0.667 0.553
Os 0.333 0.667 0.947
Os 0.667 0.333 0.053
Os 0.667 0.333 0.447
C 0.500 0.500 0.000
C 0.500 0.500 0.500


Record 3
Structure and computed X-ray diffraction stick pattern of Nd2ReC2 (a DFT-relaxed cell (GGA-PBE, the Materials Project); Cu Kα, 1.54184 Å).

Largest 10 diffraction maxima, most intense first, 2θ = 5–70°:
two_theta	d (Å)	I_rel
32.7	2.741	100
33.4	2.682	67
33.9	2.644	64
31.1	2.876	58
37.6	2.389	23
31.9	2.806	22
31.4	2.845	21
51.2	1.784	19
59.2	1.560	19
29.4	3.038	16

Cell and atoms:
a b c (Å): 6.713 5.364 10.221
angles (deg): 90.00 90.00 90.00
Fractional positions:
Nd 0.026 0.250 0.214
Nd 0.188 0.250 0.551
Nd 0.312 0.750 0.051
Nd 0.474 0.750 0.714
Nd 0.526 0.250 0.286
Nd 0.688 0.250 0.949
Nd 0.812 0.750 0.449
Nd 0.974 0.750 0.786
Re 0.230 0.250 0.858
Re 0.270 0.750 0.358
Re 0.730 0.250 0.642
Re 0.770 0.750 0.142
C 0.034 0.750 0.242
C 0.186 0.750 0.538
C 0.314 0.250 0.038
C 0.466 0.250 0.742
C 0.534 0.750 0.258
C 0.686 0.750 0.962
C 0.814 0.250 0.462
C 0.966 0.250 0.758


Record 4
Structure and computed X-ray diffraction stick pattern of NdRh3C (a DFT-relaxed cell (GGA-PBE, the Materials Project); Cu Kα, 1.54184 Å).

Largest 7 diffraction maxima, most intense first, 2θ = 5–70°:
two_theta	d (Å)	I_rel
36.7	2.447	100
42.7	2.119	54
61.9	1.499	35
29.8	2.997	3
52.9	1.730	1
21.0	4.239	1
48.0	1.896	1

Cell and atoms:
a b c (Å): 4.239 4.239 4.239
angles (deg): 90.00 90.00 90.00
Fractional positions:
Nd 0.000 0.000 0.000
Rh 0.000 0.500 0.500
Rh 0.500 0.000 0.500
Rh 0.500 0.500 0.000
C 0.500 0.500 0.500


Record 5
Structure and computed X-ray diffraction stick pattern of Nd5Si3C (a DFT-relaxed cell (GGA-PBE, the Materials Project); Cu Kα, 1.54184 Å).

Largest 10 diffraction maxima, most intense first, 2θ = 5–70°:
two_theta	d (Å)	I_rel
33.9	2.642	100
33.6	2.670	74
29.0	3.076	55
31.1	2.873	52
24.2	3.676	30
51.7	1.768	30
49.6	1.838	28
55.4	1.659	27
55.5	1.655	24
23.4	3.801	22

Cell and atoms:
a b c (Å): 8.778 8.778 6.727
angles (deg): 90.00 90.00 120.00
Fractional positions:
Nd 0.000 0.224 0.250
Nd 0.000 0.776 0.750
Nd 0.224 0.000 0.250
Nd 0.224 0.224 0.750
Nd 0.333 0.667 0.000
Nd 0.333 0.667 0.500
Nd 0.667 0.333 0.000
Nd 0.667 0.333 0.500
Nd 0.776 0.000 0.750
Nd 0.776 0.776 0.250
Si 0.000 0.409 0.750
Si 0.000 0.591 0.250
Si 0.409 0.000 0.750
Si 0.409 0.409 0.250
Si 0.591 0.000 0.250
Si 0.591 0.591 0.750
C 0.000 0.000 0.000
C 0.000 0.000 0.500


Record 6
Structure and computed X-ray diffraction stick pattern of Nd3SnC (a DFT-relaxed cell (GGA-PBE, the Materials Project); Cu Kα, 1.54184 Å).

Largest 10 diffraction maxima, most intense first, 2θ = 5–70°:
two_theta	d (Å)	I_rel
15.2	5.819	100
30.7	2.910	94
44.0	2.057	70
26.5	3.360	60
34.5	2.602	56
46.8	1.940	30
52.1	1.755	27
54.6	1.680	25
66.2	1.411	18
57.1	1.614	14

Cell and atoms:
a b c (Å): 5.819 5.819 5.819
angles (deg): 90.00 90.00 90.00
Fractional positions:
Nd 0.000 0.000 0.500
Nd 0.000 0.500 0.000
Nd 0.500 0.000 0.000
Sn 0.000 0.000 0.000
C 0.500 0.500 0.500


Record 7
Structure and computed X-ray diffraction stick pattern of Nd3TlC (a DFT-relaxed cell (GGA-PBE, the Materials Project); Cu Kα, 1.54184 Å).

Largest 10 diffraction maxima, most intense first, 2θ = 5–70°:
two_theta	d (Å)	I_rel
15.2	5.826	100
30.7	2.913	71
34.4	2.605	56
44.0	2.060	53
46.8	1.942	30
26.5	3.363	21
54.6	1.682	19
66.1	1.413	18
57.0	1.616	14
52.1	1.756	9

Cell and atoms:
a b c (Å): 5.826 5.826 5.826
angles (deg): 90.00 90.00 90.00
Fractional positions:
Nd 0.000 0.000 0.500
Nd 0.000 0.500 0.000
Nd 0.500 0.000 0.000
Tl 0.000 0.000 0.000
C 0.500 0.500 0.500


Record 8
Structure and computed X-ray diffraction stick pattern of Nd2WC2 (a DFT-relaxed cell (GGA-PBE, the Materials Project); Cu Kα, 1.54184 Å).

Largest 10 diffraction maxima, most intense first, 2θ = 5–70°:
two_theta	d (Å)	I_rel
33.8	2.655	100
34.3	2.611	53
30.6	2.919	40
54.0	1.697	30
30.0	2.981	23
63.4	1.467	18
66.0	1.416	16
64.5	1.444	16
43.9	2.064	11
43.4	2.086	11

Cell and atoms:
a b c (Å): 5.838 5.838 10.403
angles (deg): 90.00 90.00 90.00
Fractional positions:
Nd 0.197 0.197 0.157
Nd 0.197 0.197 0.843
Nd 0.303 0.697 0.343
Nd 0.303 0.697 0.657
Nd 0.697 0.303 0.343
Nd 0.697 0.303 0.657
Nd 0.803 0.803 0.157
Nd 0.803 0.803 0.843
W 0.177 0.177 0.500
W 0.323 0.677 0.000
W 0.677 0.323 0.000
W 0.823 0.823 0.500
C 0.000 0.000 0.357
C 0.000 0.000 0.643
C 0.000 0.500 0.000
C 0.000 0.500 0.500
C 0.500 0.000 0.000
C 0.500 0.000 0.500
C 0.500 0.500 0.143
C 0.500 0.500 0.857